For Tm7Sn2Hg2, a GGA-PBE-relaxed structure gives the simulated powder X-ray diffraction pattern in this record (copper Kα).
No peak broadening, texture or thermal motion is included.

Most intense lines, 2θ = 10–90°, sorted by position:
- 2θ = 25.07°, d 3.553, rel. 51
- 2θ = 27.28°, d 3.269, rel. 26
- 2θ = 27.91°, d 3.196, rel. 30
- 2θ = 32.50°, d 2.755, rel. 52
- 2θ = 36.35°, d 2.472, rel. 47
- 2θ = 36.84°, d 2.440, rel. 100
- 2θ = 44.62°, d 2.031, rel. 19
- 2θ = 68.06°, d 1.378, rel. 19

Structural model:
abc: 8.1236 11.0183 7.3283
angles: 90.00 90.00 90.00
Space group Cmmm (No. 65)
Symmetry-distinct sites (fractional):
Tm 0.0000 0.0000 0.0000 (multiplicity 2)
Tm 0.0000 0.5000 0.2531 (multiplicity 4)
Tm 0.2500 0.2500 0.2781 (multiplicity 8)
Sn 0.1813 0.0000 0.5000 (multiplicity 4)
Hg 0.0000 0.2867 0.0000 (multiplicity 4)

---

For Tm2SnHg3, a GGA-PBE-relaxed structure gives the simulated powder X-ray diffraction pattern in this record (copper Kα).
No peak broadening, texture or thermal motion is included.

Most intense lines, 2θ = 10–90°, sorted by position:
- 2θ = 33.45°, d 2.679, rel. 100
- 2θ = 36.27°, d 2.477, rel. 31
- 2θ = 36.40°, d 2.468, rel. 61
- 2θ = 50.18°, d 1.818, rel. 22
- 2θ = 63.45°, d 1.466, rel. 11
- 2θ = 63.64°, d 1.462, rel. 21
- 2θ = 65.33°, d 1.428, rel. 11
- 2θ = 66.27°, d 1.410, rel. 33

Structural model:
abc: 6.8706 9.9072 17.0794
angles: 90.00 90.00 90.00
Space group Fmmm (No. 69)
Symmetry-distinct sites (fractional):
Tm 0.2467 0.0000 0.0000 (multiplicity 8)
Tm 0.2500 0.2500 0.2500 (multiplicity 8)
Sn 0.0000 0.0000 0.3344 (multiplicity 8)
Hg 0.0000 0.0000 0.1654 (multiplicity 8)
Hg 0.0000 0.2487 0.0828 (multiplicity 16)